# HoNbN2O
Calculated X-ray powder pattern, Cu Kα, 1.54184 Å. Input: a structure optimized by DFT (PBE).
Intensities are scaled so that the largest is 100.

The 8 most intense peaks (2θ from 10° to 90°), sorted by position:
two_theta  intensity  (hkl)
31.17  42  2 0 0
31.91  100  0 2 2
32.10  100  2 2 -2
32.70  52  2 0 -4
46.03  42  0 4 0
57.57  21  2 4 -4
57.75  21  2 2 -6
58.10  24  4 2 -6

Structure:
```
data_HoNbN2O
_chemical_formula_sum 'Ho8 Nb8 N16 O8'
_space_group_name_H-M_alt 'P 1 21/c 1'
_space_group_IT_number 14
_cell_length_a 7.888
_cell_length_b 7.893
_cell_length_c 10.955
_cell_angle_alpha 90.00
_cell_angle_beta 133.32
_cell_angle_gamma 90.00
loop_
_space_group_symop_operation_xyz
'x,y,z'
'-x,-y,-z'
'-x,y+1/2,-z+1/2'
'x,-y+1/2,z+1/2'
loop_
_atom_site_label
_atom_site_fract_x
_atom_site_fract_y
_atom_site_fract_z
_atom_site_occupancy
Ho1 0.060 0.231 0.030 1
Ho2 0.437 0.736 0.470 1
Nb1 0.022 0.010 0.267 1
Nb2 0.480 0.501 0.225 1
N1 0.037 0.746 0.217 1
N2 0.184 0.565 0.001 1
N3 0.310 0.053 0.311 1
N4 0.459 0.246 0.679 1
O1 0.186 0.545 0.498 1
O2 0.321 0.049 0.823 1
```